Calculated XRD peak list of MgV3O7 for λ = 1.5418 Å (Cu Kα), from a DFT-relaxed cell (PBE+U, Alexandria).
No peak broadening, texture or thermal motion is included.

Structural model:
```
MgV3O7
1.0
10.1974 0.0000 0.0000
0.0000 10.2518 0.0000
0.0000 0.0000 5.3736
Mg V O
4 12 28
Cartesian
0.7078 2.5629 0.7053
4.3909 7.6888 3.3921
5.8065 2.5629 1.9815
9.4895 7.6888 4.6683
1.8775 5.4180 3.8635
1.8775 9.9596 3.8635
2.2223 7.6888 1.1243
2.8764 2.5629 3.8111
3.2212 0.2921 1.1767
3.2212 4.8337 1.1767
6.9762 5.4180 4.1969
6.9762 9.9596 4.1969
7.3210 7.6888 1.5625
7.9751 2.5629 4.2493
8.3199 0.2921 1.5101
8.3199 4.8337 1.5101
0.3602 6.1088 3.9169
0.3602 9.2688 3.9169
0.5563 7.6888 1.0046
2.1447 1.2429 5.1458
2.1447 3.8830 5.1458
2.2064 1.1926 2.5896
2.2064 3.9333 2.5896
2.8923 6.3185 5.2764
2.8923 9.0591 5.2764
2.9540 6.3687 2.4590
2.9540 9.0089 2.4590
4.5424 2.5629 3.6914
4.7385 0.9830 1.2301
4.7385 4.1429 1.2301
5.4589 6.1088 4.1435
5.4589 9.2688 4.1435
5.6550 7.6888 1.6822
7.2434 1.2429 2.9146
7.2434 3.8830 2.9146
7.3051 1.1926 0.0972
7.3051 3.9333 0.0972
7.9910 6.3185 2.7840
7.9910 9.0591 2.7840
8.0527 6.3687 0.2278
8.0527 9.0089 0.2278
9.6411 2.5629 4.3690
9.8371 0.9830 1.4567
9.8371 4.1429 1.4567
```

Principal peaks in the range 15 to 90 degrees two-theta, by intensity:
2θ (°), I_rel, (hkl)
29.79, 100, 2 2 1
17.39, 99, 2 0 0
31.01, 51, 0 3 1
25.59, 44, 2 1 1
52.51, 28, 2 4 2
49.13, 21, 0 4 2
33.35, 20, 0 0 2
43.05, 18, 4 2 1
59.86, 15, 6 2 1
24.06, 14, 2 0 1